Diffraction record for Pu12SnPt5. The XRD peak list is simulated, not measured: it uses a crystal structure in Alexandria, relaxed with GGA-PBE and CuKα.

Structure:
Unit cell a=8.5742 b=9.5378 c=10.7683 alpha=90.00 beta=90.00 gamma=90.00
Space group Immm (No. 71)
Symmetry-distinct sites (fractional):
Pu: 0.0000 0.2111 0.1731
Pu: 0.1808 0.5000 0.2599
Pu: 0.1860 0.2169 0.5000
Sn: 0.0000 0.5000 0.0000
Pt: 0.0000 0.0000 0.3608
Pt: 0.0000 0.5000 0.5000
Pt: 0.1617 0.0000 0.0000

Largest 10 diffraction maxima, in order of rising 2θ, 2θ = 5–70°:
Position (°2θ)  d (Å)  intensity
32.6  2.743  80.5
32.9  2.720  70.1
33.3  2.692  20.3
36.2  2.483  35.3
36.8  2.440  70.6
37.7  2.388  100.0
37.8  2.380  26.9
39.5  2.280  23.9
60.9  1.522  37.2
63.2  1.472  18.0

***

Diffraction record for YZr2Cu6. The XRD peak list is simulated, not measured: it uses a crystal structure in Alexandria, relaxed with GGA-PBE and CuKα.

Structure:
Unit cell a=7.4260 b=7.4260 c=3.0910 alpha=90.00 beta=90.00 gamma=120.00
Space group P6/mmm (No. 191)
Symmetry-distinct sites (fractional):
Y: 0.0000 0.0000 0.0000
Zr: 0.3333 0.6667 0.0000
Cu: 0.0000 0.3367 0.5000

Largest 7 diffraction maxima, in order of rising 2θ, 2θ = 5–70°:
Position (°2θ)  d (Å)  intensity
24.0  3.713  3.6
28.9  3.091  2.9
37.9  2.376  100.0
42.2  2.144  74.7
51.9  1.762  3.0
57.9  1.591  27.4
59.8  1.545  8.4